Structure and computed powder X-ray diffraction pattern of ErAg2Hg4 (a structure optimized by DFT (PBE); CuKα).
Peak positions follow from Bragg's law for the DFT cell and can differ from measured ones.

Structure:
a = 4.9081 Å, b = 4.9081 Å, c = 6.8952 Å
α = 90.00°, β = 90.00°, γ = 90.00°
Positions (direct):
Er: 0.0000 0.0000 0.0000
Ag: 0.0000 0.0000 0.5000
Ag: 0.5000 0.5000 0.0000
Hg: 0.0000 0.5000 0.2728
Hg: 0.0000 0.5000 0.7272
Hg: 0.5000 0.0000 0.2728
Hg: 0.5000 0.0000 0.7272

Principal peaks in the range 10° ≤ 2θ ≤ 90°, by angle:
d (Å), 2θ/deg, I_rel
3.471, 25.67, 15
2.454, 36.62, 53
2.446, 36.74, 100
1.735, 52.75, 19
1.415, 66.01, 36
1.097, 89.28, 18


Structure and computed powder X-ray diffraction pattern of Tm3Ga5 (a structure optimized by DFT (PBE); CuKα).
Peak positions follow from Bragg's law for the DFT cell and can differ from measured ones.

Structure:
a = 11.3047 Å, b = 9.6082 Å, c = 6.0416 Å
α = 90.00°, β = 90.00°, γ = 90.00°
Positions (direct):
Tm: 0.0733 0.2500 0.1527
Tm: 0.1477 0.5099 0.6095
Tm: 0.1477 0.9901 0.6095
Tm: 0.3523 0.0099 0.1095
Tm: 0.3523 0.4901 0.1095
Tm: 0.4267 0.7500 0.6527
Tm: 0.5733 0.2500 0.3473
Tm: 0.6477 0.5099 0.8905
Tm: 0.6477 0.9901 0.8905
Tm: 0.8523 0.0099 0.3905
Tm: 0.8523 0.4901 0.3905
Tm: 0.9267 0.7500 0.8473
Ga: 0.0064 0.2500 0.6270
Ga: 0.0907 0.5517 0.1262
Ga: 0.0907 0.9483 0.1262
Ga: 0.2008 0.7500 0.8953
Ga: 0.2487 0.7500 0.3270
Ga: 0.2513 0.2500 0.8270
Ga: 0.2992 0.2500 0.3953
Ga: 0.4093 0.0517 0.6262
Ga: 0.4093 0.4483 0.6262
Ga: 0.4936 0.7500 0.1270
Ga: 0.5064 0.2500 0.8730
Ga: 0.5907 0.5517 0.3738
Ga: 0.5907 0.9483 0.3738
Ga: 0.7008 0.7500 0.6047
Ga: 0.7487 0.7500 0.1730
Ga: 0.7513 0.2500 0.6730
Ga: 0.7992 0.2500 0.1047
Ga: 0.9093 0.0517 0.8738
Ga: 0.9093 0.4483 0.8738
Ga: 0.9936 0.7500 0.3730

Principal peaks in the range 10° ≤ 2θ ≤ 90°, by angle:
d (Å), 2θ/deg, I_rel
2.789, 32.09, 66
2.662, 33.67, 79
2.494, 36.01, 100
2.436, 36.90, 75
2.402, 37.44, 88
2.357, 38.18, 82


Structure and computed powder X-ray diffraction pattern of AlGa2Cu7 (a structure optimized by DFT (PBE); CuKα).
Peak positions follow from Bragg's law for the DFT cell and can differ from measured ones.

Structure:
a = 4.0703 Å, b = 4.0703 Å, c = 9.6779 Å
α = 90.00°, β = 90.00°, γ = 120.00°
Positions (direct):
Al: 0.0000 0.0000 0.0000
Ga: 0.3333 0.6667 0.6088
Ga: 0.6667 0.3333 0.2111
Cu: 0.0000 0.0000 0.2758
Cu: 0.0000 0.0000 0.7369
Cu: 0.3333 0.6667 0.1079
Cu: 0.3333 0.6667 0.3646
Cu: 0.3333 0.6667 0.8538
Cu: 0.6667 0.3333 0.4818
Cu: 0.6667 0.3333 0.9205

Principal peaks in the range 10° ≤ 2θ ≤ 90°, by angle:
d (Å), 2θ/deg, I_rel
2.849, 31.40, 24
2.380, 37.80, 28
2.035, 44.52, 100
1.995, 45.47, 85
1.425, 65.52, 26
1.167, 82.68, 26


Structure and computed powder X-ray diffraction pattern of Mg2BeBPt6 (a structure optimized by DFT (PBE); CuKα).
Peak positions follow from Bragg's law for the DFT cell and can differ from measured ones.

Structure:
a = 5.7401 Å, b = 5.7849 Å, c = 6.2115 Å
α = 63.46°, β = 62.90°, γ = 60.55°
Positions (direct):
Mg: 0.2374 0.2395 0.2891
Mg: 0.7626 0.7605 0.7109
Be: 0.5000 0.5000 0.5000
B: 0.0000 0.0000 0.0000
Pt: 0.2449 0.7441 0.7635
Pt: 0.2458 0.2454 0.7667
Pt: 0.2589 0.7552 0.2332
Pt: 0.7411 0.2448 0.7668
Pt: 0.7542 0.7546 0.2333
Pt: 0.7551 0.2559 0.2365

Principal peaks in the range 10° ≤ 2θ ≤ 90°, by angle:
d (Å), 2θ/deg, I_rel
4.240, 20.95, 51
2.648, 33.85, 87
2.412, 37.27, 70
2.382, 37.77, 68
2.365, 38.05, 67
2.120, 42.65, 100


Structure and computed powder X-ray diffraction pattern of Ag3PF8 (a structure optimized by DFT (PBE); CuKα).
Peak positions follow from Bragg's law for the DFT cell and can differ from measured ones.

Structure:
a = 5.7975 Å, b = 5.7975 Å, c = 7.8747 Å
α = 90.00°, β = 90.00°, γ = 118.99°
Positions (direct):
Ag: 0.0000 0.0000 0.0000
Ag: 0.0000 0.5000 0.7790
Ag: 0.5000 0.0000 0.2210
P: 0.0000 0.0000 0.5000
F: 0.1654 0.8346 0.5000
F: 0.1965 0.1982 0.6468
F: 0.1982 0.1965 0.3532
F: 0.2132 0.7868 0.0000
F: 0.7868 0.2132 0.0000
F: 0.8018 0.8035 0.3532
F: 0.8035 0.8018 0.6468
F: 0.8346 0.1654 0.5000

Principal peaks in the range 10° ≤ 2θ ≤ 90°, by angle:
d (Å), 2θ/deg, I_rel
5.071, 17.49, 61
4.263, 20.84, 100
3.110, 28.71, 30
3.092, 28.87, 33
2.720, 32.93, 33
2.357, 38.18, 40


Structure and computed powder X-ray diffraction pattern of Na3TlI6 (a structure optimized by DFT (PBE); CuKα).
Peak positions follow from Bragg's law for the DFT cell and can differ from measured ones.

Structure:
a = 8.6102 Å, b = 8.6102 Å, c = 8.6102 Å
α = 60.00°, β = 60.00°, γ = 60.00°
Positions (direct):
Na: 0.0000 0.0000 0.0000
Na: 0.2500 0.2500 0.2500
Na: 0.7500 0.7500 0.7500
Tl: 0.5000 0.5000 0.5000
I: 0.2538 0.2538 0.7462
I: 0.2538 0.7462 0.2538
I: 0.2538 0.7462 0.7462
I: 0.7462 0.2538 0.2538
I: 0.7462 0.2538 0.7462
I: 0.7462 0.7462 0.2538

Principal peaks in the range 10° ≤ 2θ ≤ 90°, by angle:
d (Å), 2θ/deg, I_rel
6.088, 14.55, 91
3.515, 25.34, 62
3.044, 29.34, 100
2.723, 32.89, 51
2.153, 41.97, 75
1.361, 68.98, 33


Structure and computed powder X-ray diffraction pattern of CaPm3Pd12 (a structure optimized by DFT (PBE); CuKα).
Peak positions follow from Bragg's law for the DFT cell and can differ from measured ones.

Structure:
a = 4.1607 Å, b = 4.1607 Å, c = 16.7685 Å
α = 90.00°, β = 90.00°, γ = 90.00°
Positions (direct):
Ca: 0.0000 0.0000 0.0000
Pm: 0.0000 0.0000 0.2481
Pm: 0.0000 0.0000 0.5000
Pm: 0.0000 0.0000 0.7519
Pd: 0.0000 0.5000 0.1239
Pd: 0.0000 0.5000 0.3745
Pd: 0.0000 0.5000 0.6255
Pd: 0.0000 0.5000 0.8761
Pd: 0.5000 0.0000 0.1239
Pd: 0.5000 0.0000 0.3745
Pd: 0.5000 0.0000 0.6255
Pd: 0.5000 0.0000 0.8761
Pd: 0.5000 0.5000 0.0000
Pd: 0.5000 0.5000 0.2491
Pd: 0.5000 0.5000 0.5000
Pd: 0.5000 0.5000 0.7509

Principal peaks in the range 10° ≤ 2θ ≤ 90°, by angle:
d (Å), 2θ/deg, I_rel
2.408, 37.34, 100
2.096, 43.16, 17
2.080, 43.50, 33
1.477, 62.95, 21
1.262, 75.29, 12
1.255, 75.77, 24


Structure and computed powder X-ray diffraction pattern of Ca2SnS4 (a structure optimized by DFT (PBE); CuKα).
Peak positions follow from Bragg's law for the DFT cell and can differ from measured ones.

Structure:
a = 6.8442 Å, b = 7.4004 Å, c = 15.5388 Å
α = 90.00°, β = 106.60°, γ = 90.00°
Positions (direct):
Ca: 0.1929 0.2490 0.0201
Ca: 0.1929 0.2510 0.5201
Ca: 0.2823 0.1271 0.2838
Ca: 0.2823 0.3729 0.7838
Ca: 0.7177 0.6271 0.2162
Ca: 0.7177 0.8729 0.7162
Ca: 0.8071 0.7490 0.4799
Ca: 0.8071 0.7510 0.9799
Sn: 0.2636 0.7246 0.4114
Sn: 0.2636 0.7754 0.9114
Sn: 0.7364 0.2246 0.0886
Sn: 0.7364 0.2754 0.5886
S: 0.0023 0.0056 0.8763
S: 0.0023 0.4944 0.3763
S: 0.0339 0.5167 0.8850
S: 0.0339 0.9833 0.3850
S: 0.4799 0.7005 0.5618
S: 0.4799 0.7995 0.0618
S: 0.4836 0.7056 0.8185
S: 0.4836 0.7944 0.3185
S: 0.5164 0.2056 0.6815
S: 0.5164 0.2944 0.1815
S: 0.5201 0.2005 0.9382
S: 0.5201 0.2995 0.4382
S: 0.9661 0.0167 0.6150
S: 0.9661 0.4833 0.1150
S: 0.9977 0.5056 0.6237
S: 0.9977 0.9944 0.1237

Principal peaks in the range 10° ≤ 2θ ≤ 90°, by angle:
d (Å), 2θ/deg, I_rel
5.814, 15.24, 46
5.249, 16.89, 85
4.345, 20.44, 48
3.073, 29.06, 41
2.704, 33.14, 100
2.086, 43.38, 42


Structure and computed powder X-ray diffraction pattern of Sr2Be7Au12 (a structure optimized by DFT (PBE); CuKα).
Peak positions follow from Bragg's law for the DFT cell and can differ from measured ones.

Structure:
a = 9.8739 Å, b = 9.8739 Å, c = 4.1815 Å
α = 90.00°, β = 90.00°, γ = 120.00°
Positions (direct):
Sr: 0.3333 0.6667 0.2511
Sr: 0.6667 0.3333 0.7489
Be: 0.0000 0.0000 0.0000
Be: 0.1046 0.7144 0.7522
Be: 0.2856 0.3902 0.7522
Be: 0.3902 0.1046 0.2478
Be: 0.6098 0.8954 0.7522
Be: 0.7144 0.6098 0.2478
Be: 0.8954 0.2856 0.2478
Au: 0.0714 0.4531 0.7502
Au: 0.1185 0.2558 0.2546
Au: 0.1373 0.8815 0.2546
Au: 0.2558 0.1373 0.7454
Au: 0.3816 0.9286 0.7502
Au: 0.4531 0.3816 0.2498
Au: 0.5469 0.6184 0.7502
Au: 0.6184 0.0714 0.2498
Au: 0.7442 0.8627 0.2546
Au: 0.8627 0.1185 0.7454
Au: 0.8815 0.7442 0.7454
Au: 0.9286 0.5469 0.2498

Principal peaks in the range 10° ≤ 2θ ≤ 90°, by angle:
d (Å), 2θ/deg, I_rel
3.232, 27.60, 27
3.191, 27.96, 15
2.557, 35.09, 100
2.091, 43.27, 18
1.962, 46.28, 21
1.431, 65.21, 15


Structure and computed powder X-ray diffraction pattern of Ho2TmBi3 (a structure optimized by DFT (PBE); CuKα).
Peak positions follow from Bragg's law for the DFT cell and can differ from measured ones.

Structure:
a = 4.4492 Å, b = 6.2876 Å, c = 13.3482 Å
α = 90.00°, β = 90.00°, γ = 90.00°
Positions (direct):
Ho: 0.0000 0.0000 0.1671
Ho: 0.0000 0.0000 0.8329
Ho: 0.5000 0.5000 0.3329
Ho: 0.5000 0.5000 0.6671
Tm: 0.0000 0.0000 0.5000
Tm: 0.5000 0.5000 0.0000
Bi: 0.0000 0.5000 0.1654
Bi: 0.0000 0.5000 0.5000
Bi: 0.0000 0.5000 0.8346
Bi: 0.5000 0.0000 0.0000
Bi: 0.5000 0.0000 0.3346
Bi: 0.5000 0.0000 0.6654

Principal peaks in the range 10° ≤ 2θ ≤ 90°, by angle:
d (Å), 2θ/deg, I_rel
3.145, 28.38, 100
2.224, 40.56, 78
1.816, 50.24, 28
1.573, 58.71, 13
1.407, 66.47, 37
1.284, 73.79, 28


Structure and computed powder X-ray diffraction pattern of Ac3CdGe2Au6 (a structure optimized by DFT (PBE); CuKα).
Peak positions follow from Bragg's law for the DFT cell and can differ from measured ones.

Structure:
a = 6.5499 Å, b = 6.5499 Å, c = 8.4951 Å
α = 90.00°, β = 90.00°, γ = 120.00°
Positions (direct):
Ac: 0.0000 0.0000 0.0000
Ac: 0.3333 0.6667 0.6463
Ac: 0.6667 0.3333 0.3537
Cd: 0.0000 0.0000 0.5000
Ge: 0.3333 0.6667 0.0456
Ge: 0.6667 0.3333 0.9544
Au: 0.1829 0.3659 0.2820
Au: 0.1829 0.8171 0.2820
Au: 0.3659 0.1829 0.7180
Au: 0.6341 0.8171 0.2820
Au: 0.8171 0.1829 0.7180
Au: 0.8171 0.6341 0.7180

Principal peaks in the range 10° ≤ 2θ ≤ 90°, by angle:
d (Å), 2θ/deg, I_rel
2.833, 31.58, 30
2.690, 33.30, 100
2.594, 34.58, 26
2.359, 38.15, 62
2.004, 45.25, 22
1.637, 56.17, 28


Structure and computed powder X-ray diffraction pattern of Zr6Os2O (a structure optimized by DFT (PBE); CuKα).
Peak positions follow from Bragg's law for the DFT cell and can differ from measured ones.

Structure:
a = 5.9667 Å, b = 6.5240 Å, c = 10.6345 Å
α = 90.00°, β = 121.34°, γ = 90.00°
Positions (direct):
Zr: 0.1246 0.1828 0.4433
Zr: 0.1246 0.3172 0.9433
Zr: 0.2717 0.6810 0.4436
Zr: 0.2717 0.8190 0.9436
Zr: 0.3744 0.0259 0.2524
Zr: 0.3744 0.4741 0.7524
Zr: 0.6256 0.5259 0.2476
Zr: 0.6256 0.9741 0.7476
Zr: 0.7283 0.1810 0.0564
Zr: 0.7283 0.3190 0.5564
Zr: 0.8754 0.6828 0.0567
Zr: 0.8754 0.8172 0.5567
Os: 0.1835 0.1087 0.7385
Os: 0.1835 0.3913 0.2385
Os: 0.8165 0.6087 0.7615
Os: 0.8165 0.8913 0.2615
O: 0.5000 0.0000 0.5000
O: 0.5000 0.5000 0.0000

Principal peaks in the range 10° ≤ 2θ ≤ 90°, by angle:
d (Å), 2θ/deg, I_rel
4.400, 20.18, 50
2.649, 33.84, 100
2.629, 34.10, 74
2.567, 34.95, 53
2.446, 36.74, 53
2.219, 40.66, 70


Repeat the seventh record exactly.
Structure and computed powder X-ray diffraction pattern of CaPm3Pd12 (a structure optimized by DFT (PBE); CuKα).
Peak positions follow from Bragg's law for the DFT cell and can differ from measured ones.

Structure:
a = 4.1607 Å, b = 4.1607 Å, c = 16.7685 Å
α = 90.00°, β = 90.00°, γ = 90.00°
Positions (direct):
Ca: 0.0000 0.0000 0.0000
Pm: 0.0000 0.0000 0.2481
Pm: 0.0000 0.0000 0.5000
Pm: 0.0000 0.0000 0.7519
Pd: 0.0000 0.5000 0.1239
Pd: 0.0000 0.5000 0.3745
Pd: 0.0000 0.5000 0.6255
Pd: 0.0000 0.5000 0.8761
Pd: 0.5000 0.0000 0.1239
Pd: 0.5000 0.0000 0.3745
Pd: 0.5000 0.0000 0.6255
Pd: 0.5000 0.0000 0.8761
Pd: 0.5000 0.5000 0.0000
Pd: 0.5000 0.5000 0.2491
Pd: 0.5000 0.5000 0.5000
Pd: 0.5000 0.5000 0.7509

Principal peaks in the range 10° ≤ 2θ ≤ 90°, by angle:
d (Å), 2θ/deg, I_rel
2.408, 37.34, 100
2.096, 43.16, 17
2.080, 43.50, 33
1.477, 62.95, 21
1.262, 75.29, 12
1.255, 75.77, 24